[1]
Computed X-ray powder pattern
Compound: Sr2TlHg2
Radiation: Cu Kα (λ = 1.5418 Å)
Structure: a cell relaxed with GGA-PBE
No peak broadening, texture or thermal motion is included.

Structure:
Lattice parameters (Å, degrees): 12.502 4.914 11.905 90.00 116.54 90.00
Space group C2/m (No. 12)
Unique sites:
Sr: 0.009 0.000 0.336
Sr: 0.187 0.000 0.108
Tl: 0.217 0.500 0.347
Hg: 0.038 0.500 0.891
Hg: 0.133 0.500 0.569

Peak list (12 most intense, 2θ from 10° to 90°, sorted by position)
19.73°, rel. 46.9, (1 1 0); 22.90°, rel. 30.3, (2 0 -3); 28.17°, rel. 49.5, (1 1 2); 28.69°, rel. 30.4, (4 0 -2); 29.11°, rel. 43.3, (1 1 -3); 31.66°, rel. 64.0, (3 1 -3); 33.66°, rel. 26.6, (0 0 4); 34.10°, rel. 100.0, (3 1 1); 36.57°, rel. 51.5, (0 2 0); 40.49°, rel. 25.8, (5 1 -2); 43.61°, rel. 29.9, (2 2 -3); 65.89°, rel. 26.4, (7 1 -7)

***

[2]
Computed X-ray powder pattern
Compound: CuTePC
Radiation: Cu Kα (λ = 1.5418 Å)
Structure: a cell relaxed with GGA-PBE
No peak broadening, texture or thermal motion is included.

Structure:
Lattice parameters (Å, degrees): 5.455 2.918 10.120 90.00 90.00 90.00
Space group Amm2 (No. 38)
Unique sites:
Cu: 0.000 0.000 0.000
Te: 0.500 0.000 0.043
P: 0.000 0.000 0.220
C: 0.000 0.000 0.810

Peak list (12 most intense, 2θ from 10° to 90°, sorted by position)
17.53°, rel. 100.0, (0 0 2); 23.99°, rel. 38.9, (1 0 2); 31.92°, rel. 84.9, (0 1 1); 32.83°, rel. 51.3, (2 0 0); 35.48°, rel. 24.3, (0 0 4); 37.46°, rel. 31.3, (2 0 2); 39.25°, rel. 17.6, (1 0 4); 40.89°, rel. 21.6, (0 1 3); 44.27°, rel. 22.4, (1 1 3); 46.44°, rel. 58.2, (2 1 1); 49.12°, rel. 18.7, (2 0 4); 53.40°, rel. 19.8, (2 1 3)

***

[3]
Computed X-ray powder pattern
Compound: NpAl6Cu3
Radiation: Cu Kα (λ = 1.5418 Å)
Structure: a cell relaxed with GGA-PBE
No peak broadening, texture or thermal motion is included.

Structure:
Lattice parameters (Å, degrees): 8.695 4.041 9.821 90.00 96.80 90.00
Space group P2_1/m (No. 11)
Unique sites:
Np: 0.019 0.250 0.214
Al: 0.098 0.750 0.465
Al: 0.184 0.250 0.945
Al: 0.210 0.250 0.677
Al: 0.361 0.250 0.208
Al: 0.412 0.750 0.577
Al: 0.498 0.250 0.907
Cu: 0.215 0.750 0.086
Cu: 0.295 0.250 0.446
Cu: 0.342 0.750 0.834

Peak list (12 most intense, 2θ from 10° to 90°, sorted by position)
10.25°, rel. 100.0, (1 0 0); 23.84°, rel. 85.1, (0 1 1); 25.56°, rel. 66.3, (1 1 -1); 27.44°, rel. 31.9, (0 0 3); 29.21°, rel. 38.9, (2 0 2); 32.41°, rel. 51.8, (2 1 1); 34.24°, rel. 41.9, (3 0 -2); 36.02°, rel. 31.5, (1 1 -3); 39.28°, rel. 34.9, (3 0 -3); 40.43°, rel. 93.1, (3 1 1); 43.34°, rel. 58.6, (0 1 4); 44.85°, rel. 51.4, (0 2 0)

***

[4]
Computed X-ray powder pattern
Compound: Ba10In2N3
Radiation: Cu Kα (λ = 1.5418 Å)
Structure: a cell relaxed with GGA-PBE
No peak broadening, texture or thermal motion is included.

Structure:
Lattice parameters (Å, degrees): 26.200 8.112 11.401 90.00 111.74 90.00
Space group C2/m (No. 12)
Unique sites:
Ba: 0.000 0.227 0.000
Ba: 0.017 0.500 0.674
Ba: 0.022 0.000 0.684
Ba: 0.114 0.259 0.533
Ba: 0.137 0.000 0.257
Ba: 0.147 0.235 0.975
Ba: 0.233 0.000 0.769
Ba: 0.250 0.250 0.500
In: 0.120 0.500 0.240
In: 0.228 0.500 0.789
N: 0.000 0.262 0.500
N: 0.071 0.000 0.957
N: 0.175 0.000 0.519

Peak list (12 most intense, 2θ from 10° to 90°, sorted by position)
25.54°, rel. 15.6, (2 2 1); 26.28°, rel. 24.0, (6 0 1); 26.64°, rel. 57.1, (6 0 -3); 27.70°, rel. 100.0, (0 2 2); 28.83°, rel. 23.4, (2 0 3); 29.36°, rel. 27.6, (8 0 0); 30.07°, rel. 73.5, (6 2 -1); 33.86°, rel. 17.5, (0 0 4); 44.68°, rel. 17.1, (0 4 0); 45.39°, rel. 26.7, (8 2 2); 46.13°, rel. 21.9, (6 2 -5); 52.78°, rel. 16.1, (6 4 -3)